Entry 1:
PmNd2DyS4: calculated PXRD pattern (copper Kα), based on DFT lattice parameters and positions (GGA-PBE).

Structure:
```
data_PmNd2DyS4
_symmetry_space_group_name_H-M 'P 1 2/m 1'
_symmetry_Int_Tables_number 10
_cell_length_a 6.970
_cell_length_b 3.977
_cell_length_c 7.012
_cell_angle_alpha 90.00
_cell_angle_beta 108.94
_cell_angle_gamma 90.00
loop_
_symmetry_equiv_pos_as_xyz
'x,y,z'
'-x,-y,-z'
'-x,y,-z'
'x,-y,z'
loop_
_atom_site_label
_atom_site_type_symbol
_atom_site_fract_x
_atom_site_fract_y
_atom_site_fract_z
_atom_site_occupancy
Pm1 Pm 0.000 0.000 0.000 1
Nd1 Nd 0.000 0.500 0.500 1
Nd2 Nd 0.500 0.000 0.500 1
Dy1 Dy 0.500 0.500 0.000 1
S1 S 0.253 0.500 0.242 1
S2 S 0.260 0.000 0.762 1
```

Peak list (10 most intense, 10 to 80 degrees two-theta, in order of rising 2θ)
| 2θ (°) | I_rel |
| --- | --- |
| 26.9 | 20 |
| 27.1 | 19 |
| 27.4 | 38 |
| 31.5 | 100 |
| 44.6 | 12 |
| 45.0 | 24 |
| 45.2 | 24 |
| 45.6 | 12 |
| 53.8 | 12 |
| 56.5 | 12 |



Entry 2:
Tb7NdHo3: calculated PXRD pattern (copper Kα), based on DFT lattice parameters and positions (GGA-PBE).

Structure:
```
data_Tb7NdHo3
_symmetry_space_group_name_H-M 'P -1'
_symmetry_Int_Tables_number 2
_cell_length_a 5.559
_cell_length_b 6.967
_cell_length_c 9.887
_cell_angle_alpha 70.23
_cell_angle_beta 89.99
_cell_angle_gamma 89.95
loop_
_symmetry_equiv_pos_as_xyz
'x,y,z'
'-x,-y,-z'
loop_
_atom_site_label
_atom_site_type_symbol
_atom_site_fract_x
_atom_site_fract_y
_atom_site_fract_z
_atom_site_occupancy
Tb1 Tb 0.000 0.000 0.000 1
Tb2 Tb 0.000 0.423 0.168 1
Tb3 Tb 0.500 0.147 0.710 1
Tb4 Tb 0.500 0.325 0.357 1
Nd1 Nd 0.000 0.000 0.500 1
Ho1 Ho 0.000 0.500 0.500 1
Ho2 Ho 0.500 0.277 0.003 1
```

Peak list (10 most intense, 10 to 80 degrees two-theta, in order of rising 2θ)
| 2θ (°) | I_rel |
| --- | --- |
| 31.5 | 37 |
| 31.7 | 100 |
| 31.8 | 76 |
| 31.9 | 91 |
| 32.2 | 97 |
| 32.3 | 30 |
| 33.1 | 100 |
| 45.9 | 22 |
| 46.3 | 22 |
| 63.0 | 27 |